Er2CdS4: simulated PXRD pattern (Cu Kα X-rays), based on DFT lattice parameters and positions (PBE).
Neutral-atom scattering factors, no anomalous dispersion.

Crystal structure
Cell: 7.9387 7.9387 7.9387 Å, 60.00 60.00 60.00°
Fractional positions:
Er  0.0000  0.0000  0.0000
Er  0.0000  0.0000  0.5000
Er  0.0000  0.5000  0.0000
Er  0.5000  0.0000  0.0000
Cd  0.3750  0.3750  0.3750
Cd  0.6250  0.6250  0.6250
S  0.2261  0.7580  0.7580
S  0.2420  0.2420  0.2420
S  0.2420  0.2420  0.7739
S  0.2420  0.7739  0.2420
S  0.7580  0.2261  0.7580
S  0.7580  0.7580  0.2261
S  0.7580  0.7580  0.7580
S  0.7739  0.2420  0.2420

Principal peaks in the range 2θ from 10° to 90°, most intense first:
- 2θ 26.3, rel. 100.0
- 2θ 45.7, rel. 61.0
- 2θ 41.8, rel. 43.3
- 2θ 31.9, rel. 31.0
- 2θ 63.7, rel. 23.5
- 2θ 13.7, rel. 22.9
- 2θ 84.6, rel. 19.9
- 2θ 27.5, rel. 19.0
- 2θ 22.4, rel. 17.3
- 2θ 53.5, rel. 14.2